(1)
The following is a theoretical PXRD pattern of CsNbCu2Te4. It was derived from the PBE geometry in the Materials Project, using a wavelength of 1.5418 Å.

Crystal structure
```
data_CsNbCu2Te4
_symmetry_space_group_name_H-M 'P 1'
_symmetry_Int_Tables_number 1
_cell_length_a 8.345
_cell_length_b 21.034
_cell_length_c 6.058
_cell_angle_alpha 90.00
_cell_angle_beta 90.00
_cell_angle_gamma 90.00
loop_
_symmetry_equiv_pos_as_xyz
'x,y,z'
loop_
_atom_site_label
_atom_site_type_symbol
_atom_site_fract_x
_atom_site_fract_y
_atom_site_fract_z
Cs1 Cs 0.204 0.062 0.000
Cs2 Cs 0.296 0.562 0.500
Cs3 Cs 0.704 0.438 0.000
Cs4 Cs 0.796 0.938 0.500
Nb1 Nb 0.204 0.353 0.244
Nb2 Nb 0.296 0.853 0.744
Nb3 Nb 0.704 0.147 0.244
Nb4 Nb 0.796 0.647 0.744
Cu1 Cu 0.039 0.753 0.752
Cu2 Cu 0.204 0.353 0.745
Cu3 Cu 0.296 0.853 0.245
Cu4 Cu 0.461 0.253 0.252
Cu5 Cu 0.539 0.747 0.752
Cu6 Cu 0.704 0.147 0.745
Cu7 Cu 0.796 0.647 0.245
Cu8 Cu 0.961 0.247 0.252
Te1 Te 0.037 0.856 0.997
Te2 Te 0.054 0.651 0.999
Te3 Te 0.191 0.455 0.992
Te4 Te 0.211 0.250 0.987
Te5 Te 0.289 0.750 0.487
Te6 Te 0.309 0.955 0.492
Te7 Te 0.446 0.151 0.499
Te8 Te 0.463 0.356 0.497
Te9 Te 0.537 0.644 0.997
Te10 Te 0.554 0.849 0.999
Te11 Te 0.691 0.045 0.992
Te12 Te 0.711 0.250 0.987
Te13 Te 0.789 0.750 0.487
Te14 Te 0.809 0.545 0.492
Te15 Te 0.946 0.349 0.499
Te16 Te 0.963 0.144 0.497
```

Largest 10 diffraction maxima, by intensity, 2θ from 15° to 90°:
2θ 25.78, I = 100.0; 2θ 26.28, I = 61.5; 2θ 40.61, I = 41.6; 2θ 45.13, I = 32.5; 2θ 25.93, I = 32.0; 2θ 42.69, I = 29.1; 2θ 43.00, I = 21.9; 2θ 43.60, I = 18.5; 2θ 50.11, I = 17.4; 2θ 29.49, I = 14.3

=====

(2)
The following is a theoretical PXRD pattern of CsNpCuS3. It was derived from the PBE geometry in the Materials Project, using a wavelength of 1.5418 Å.

Crystal structure
```
data_CsNpCuS3
_symmetry_space_group_name_H-M 'P 1'
_symmetry_Int_Tables_number 1
_cell_length_a 7.997
_cell_length_b 7.997
_cell_length_c 10.199
_cell_angle_alpha 90.00
_cell_angle_beta 90.00
_cell_angle_gamma 150.87
loop_
_symmetry_equiv_pos_as_xyz
'x,y,z'
loop_
_atom_site_label
_atom_site_type_symbol
_atom_site_fract_x
_atom_site_fract_y
_atom_site_fract_z
Cs1 Cs 0.240 0.760 0.750
Cs2 Cs 0.760 0.240 0.250
Np1 Np 0.500 0.500 0.000
Np2 Np 0.500 0.500 0.500
Cu1 Cu 0.035 0.965 0.250
Cu2 Cu 0.965 0.035 0.750
S1 S 0.112 0.888 0.058
S2 S 0.112 0.888 0.442
S3 S 0.449 0.551 0.250
S4 S 0.551 0.449 0.750
S5 S 0.888 0.112 0.558
S6 S 0.888 0.112 0.942
```

Largest 10 diffraction maxima, by intensity, 2θ from 15° to 90°:
2θ 20.86, I = 100.0; 2θ 28.85, I = 65.6; 2θ 22.98, I = 62.1; 2θ 33.26, I = 59.9; 2θ 40.82, I = 57.2; 2θ 29.49, I = 54.4; 2θ 42.43, I = 48.3; 2θ 28.13, I = 40.6; 2θ 35.20, I = 39.3; 2θ 39.13, I = 27.6

=====

(3)
The following is a theoretical PXRD pattern of Cs3Cu5O4. It was derived from the PBE geometry in the Materials Project, using a wavelength of 1.5418 Å.

Crystal structure
```
data_Cs3Cu5O4
_symmetry_space_group_name_H-M 'P 1'
_symmetry_Int_Tables_number 1
_cell_length_a 10.432
_cell_length_b 7.652
_cell_length_c 14.907
_cell_angle_alpha 90.00
_cell_angle_beta 106.24
_cell_angle_gamma 90.00
loop_
_symmetry_equiv_pos_as_xyz
'x,y,z'
loop_
_atom_site_label
_atom_site_type_symbol
_atom_site_fract_x
_atom_site_fract_y
_atom_site_fract_z
Cs1 Cs 0.103 0.172 0.094
Cs2 Cs 0.103 0.328 0.594
Cs3 Cs 0.277 0.701 0.083
Cs4 Cs 0.277 0.799 0.583
Cs5 Cs 0.322 0.091 0.892
Cs6 Cs 0.322 0.409 0.392
Cs7 Cs 0.678 0.591 0.608
Cs8 Cs 0.678 0.909 0.108
Cs9 Cs 0.723 0.201 0.417
Cs10 Cs 0.723 0.299 0.917
Cs11 Cs 0.897 0.672 0.406
Cs12 Cs 0.897 0.828 0.906
Cu1 Cu 0.064 0.675 0.740
Cu2 Cu 0.064 0.825 0.240
Cu3 Cu 0.066 0.079 0.371
Cu4 Cu 0.066 0.421 0.871
Cu5 Cu 0.294 0.564 0.856
Cu6 Cu 0.294 0.936 0.356
Cu7 Cu 0.429 0.043 0.232
Cu8 Cu 0.429 0.457 0.732
Cu9 Cu 0.471 0.206 0.627
Cu10 Cu 0.471 0.294 0.127
Cu11 Cu 0.529 0.706 0.873
Cu12 Cu 0.529 0.794 0.373
Cu13 Cu 0.571 0.543 0.268
Cu14 Cu 0.571 0.957 0.768
Cu15 Cu 0.706 0.064 0.644
Cu16 Cu 0.706 0.436 0.144
Cu17 Cu 0.934 0.579 0.129
Cu18 Cu 0.934 0.921 0.629
Cu19 Cu 0.936 0.175 0.760
Cu20 Cu 0.936 0.325 0.260
O1 O 0.004 0.203 0.886
O2 O 0.004 0.297 0.386
O3 O 0.133 0.646 0.869
O4 O 0.133 0.854 0.369
O5 O 0.398 0.074 0.106
O6 O 0.398 0.426 0.606
O7 O 0.462 0.020 0.360
O8 O 0.462 0.480 0.860
O9 O 0.538 0.520 0.140
O10 O 0.538 0.980 0.640
O11 O 0.602 0.574 0.394
O12 O 0.602 0.926 0.894
O13 O 0.867 0.146 0.631
O14 O 0.867 0.354 0.131
O15 O 0.996 0.703 0.614
O16 O 0.996 0.797 0.114
```

Largest 10 diffraction maxima, by intensity, 2θ from 15° to 90°:
2θ 24.89, I = 100.0; 2θ 28.64, I = 91.4; 2θ 26.29, I = 76.0; 2θ 29.01, I = 72.1; 2θ 29.70, I = 70.7; 2θ 26.71, I = 61.5; 2θ 27.06, I = 61.3; 2θ 28.77, I = 48.8; 2θ 29.18, I = 41.1; 2θ 45.27, I = 40.0

=====

(4)
The following is a theoretical PXRD pattern of Cs2CuP2O7. It was derived from the PBE geometry in the Materials Project, using a wavelength of 1.5418 Å.

Crystal structure
```
data_Cs2CuP2O7
_symmetry_space_group_name_H-M 'P 1'
_symmetry_Int_Tables_number 1
_cell_length_a 7.581
_cell_length_b 7.581
_cell_length_c 10.104
_cell_angle_alpha 100.73
_cell_angle_beta 100.73
_cell_angle_gamma 120.20
loop_
_symmetry_equiv_pos_as_xyz
'x,y,z'
loop_
_atom_site_label
_atom_site_type_symbol
_atom_site_fract_x
_atom_site_fract_y
_atom_site_fract_z
Cs1 Cs 0.044 0.956 0.500
Cs2 Cs 0.407 0.825 0.181
Cs3 Cs 0.825 0.407 0.681
Cs4 Cs 0.956 0.044 0.000
Cu1 Cu 0.412 0.648 0.658
Cu2 Cu 0.648 0.412 0.158
P1 P 0.039 0.441 0.367
P2 P 0.390 0.402 0.862
P3 P 0.402 0.390 0.362
P4 P 0.441 0.039 0.867
O1 O 0.154 0.312 0.792
O2 O 0.177 0.618 0.516
O3 O 0.218 0.435 0.297
O4 O 0.218 0.880 0.870
O5 O 0.312 0.154 0.292
O6 O 0.435 0.218 0.797
O7 O 0.448 0.453 0.525
O8 O 0.453 0.448 0.025
O9 O 0.528 0.947 0.768
O10 O 0.546 0.599 0.824
O11 O 0.599 0.546 0.324
O12 O 0.618 0.177 0.016
O13 O 0.880 0.218 0.370
O14 O 0.947 0.528 0.268
```

Largest 10 diffraction maxima, by intensity, 2θ from 15° to 90°:
2θ 25.42, I = 100.0; 2θ 28.84, I = 79.0; 2θ 27.52, I = 77.9; 2θ 23.95, I = 76.1; 2θ 27.41, I = 68.0; 2θ 23.31, I = 56.2; 2θ 19.63, I = 52.6; 2θ 39.85, I = 39.2; 2θ 36.24, I = 36.4; 2θ 41.19, I = 31.2

=====

(5)
The following is a theoretical PXRD pattern of CsCuPS3. It was derived from the PBE geometry in the Materials Project, using a wavelength of 1.5418 Å.

Crystal structure
```
data_CsCuPS3
_symmetry_space_group_name_H-M 'P 1'
_symmetry_Int_Tables_number 1
_cell_length_a 9.717
_cell_length_b 13.221
_cell_length_c 10.702
_cell_angle_alpha 90.00
_cell_angle_beta 105.99
_cell_angle_gamma 90.00
loop_
_symmetry_equiv_pos_as_xyz
'x,y,z'
loop_
_atom_site_label
_atom_site_type_symbol
_atom_site_fract_x
_atom_site_fract_y
_atom_site_fract_z
Cs1 Cs 0.111 0.184 0.118
Cs2 Cs 0.111 0.316 0.618
Cs3 Cs 0.363 0.651 0.827
Cs4 Cs 0.363 0.849 0.327
Cs5 Cs 0.637 0.151 0.673
Cs6 Cs 0.637 0.349 0.173
Cs7 Cs 0.889 0.684 0.382
Cs8 Cs 0.889 0.816 0.882
Cu1 Cu 0.048 0.044 0.404
Cu2 Cu 0.048 0.456 0.904
Cu3 Cu 0.481 0.598 0.456
Cu4 Cu 0.481 0.902 0.956
Cu5 Cu 0.519 0.098 0.044
Cu6 Cu 0.519 0.402 0.544
Cu7 Cu 0.952 0.544 0.096
Cu8 Cu 0.952 0.956 0.596
P1 P 0.219 0.036 0.833
P2 P 0.219 0.464 0.333
P3 P 0.283 0.541 0.166
P4 P 0.283 0.959 0.666
P5 P 0.717 0.041 0.334
P6 P 0.717 0.459 0.834
P7 P 0.781 0.536 0.667
P8 P 0.781 0.964 0.167
S1 S 0.008 0.072 0.759
S2 S 0.008 0.428 0.259
S3 S 0.135 0.654 0.109
S4 S 0.135 0.846 0.609
S5 S 0.258 0.570 0.477
S6 S 0.258 0.930 0.977
S7 S 0.276 0.064 0.525
S8 S 0.276 0.436 0.025
S9 S 0.340 0.165 0.884
S10 S 0.340 0.335 0.384
S11 S 0.487 0.593 0.245
S12 S 0.487 0.907 0.745
S13 S 0.513 0.093 0.255
S14 S 0.513 0.407 0.755
S15 S 0.660 0.665 0.616
S16 S 0.660 0.835 0.116
S17 S 0.724 0.564 0.975
S18 S 0.724 0.936 0.475
S19 S 0.742 0.070 0.023
S20 S 0.742 0.430 0.523
S21 S 0.865 0.154 0.391
S22 S 0.865 0.346 0.891
S23 S 0.992 0.572 0.741
S24 S 0.992 0.928 0.241
```

Largest 10 diffraction maxima, by intensity, 2θ from 15° to 90°:
2θ 30.74, I = 100.0; 2θ 28.53, I = 77.4; 2θ 22.96, I = 56.3; 2θ 20.16, I = 46.5; 2θ 21.91, I = 43.5; 2θ 18.51, I = 34.9; 2θ 19.76, I = 32.4; 2θ 25.76, I = 31.8; 2θ 32.97, I = 25.2; 2θ 26.65, I = 22.8

=====

(6)
The following is a theoretical PXRD pattern of CsCuPSe3. It was derived from the PBE geometry in the Materials Project, using a wavelength of 1.5418 Å.

Crystal structure
```
data_CsCuPSe3
_symmetry_space_group_name_H-M 'P 1'
_symmetry_Int_Tables_number 1
_cell_length_a 10.213
_cell_length_b 13.502
_cell_length_c 11.028
_cell_angle_alpha 90.00
_cell_angle_beta 104.22
_cell_angle_gamma 90.00
loop_
_symmetry_equiv_pos_as_xyz
'x,y,z'
loop_
_atom_site_label
_atom_site_type_symbol
_atom_site_fract_x
_atom_site_fract_y
_atom_site_fract_z
Cs1 Cs 0.111 0.180 0.117
Cs2 Cs 0.111 0.320 0.617
Cs3 Cs 0.367 0.653 0.840
Cs4 Cs 0.367 0.847 0.340
Cs5 Cs 0.633 0.153 0.660
Cs6 Cs 0.633 0.347 0.160
Cs7 Cs 0.889 0.680 0.383
Cs8 Cs 0.889 0.820 0.883
Cu1 Cu 0.046 0.047 0.404
Cu2 Cu 0.046 0.453 0.904
Cu3 Cu 0.480 0.597 0.461
Cu4 Cu 0.480 0.903 0.961
Cu5 Cu 0.520 0.097 0.039
Cu6 Cu 0.520 0.403 0.539
Cu7 Cu 0.954 0.547 0.096
Cu8 Cu 0.954 0.953 0.596
P1 P 0.220 0.037 0.832
P2 P 0.220 0.463 0.332
P3 P 0.283 0.540 0.168
P4 P 0.283 0.960 0.668
P5 P 0.717 0.040 0.332
P6 P 0.717 0.460 0.832
P7 P 0.780 0.537 0.668
P8 P 0.780 0.963 0.168
Se1 Se 0.005 0.078 0.755
Se2 Se 0.005 0.422 0.255
Se3 Se 0.135 0.663 0.113
Se4 Se 0.135 0.837 0.613
Se5 Se 0.255 0.574 0.484
Se6 Se 0.255 0.926 0.984
Se7 Se 0.274 0.072 0.520
Se8 Se 0.274 0.428 0.020
Se9 Se 0.346 0.172 0.880
Se10 Se 0.346 0.328 0.380
Se11 Se 0.493 0.591 0.247
Se12 Se 0.493 0.909 0.747
Se13 Se 0.507 0.091 0.253
Se14 Se 0.507 0.409 0.753
Se15 Se 0.654 0.672 0.620
Se16 Se 0.654 0.828 0.120
Se17 Se 0.726 0.572 0.980
Se18 Se 0.726 0.928 0.480
Se19 Se 0.745 0.074 0.016
Se20 Se 0.745 0.426 0.516
Se21 Se 0.865 0.163 0.387
Se22 Se 0.865 0.337 0.887
Se23 Se 0.995 0.578 0.745
Se24 Se 0.995 0.922 0.245
```

Largest 10 diffraction maxima, by intensity, 2θ from 15° to 90°:
2θ 27.78, I = 100.0; 2θ 29.82, I = 81.5; 2θ 29.43, I = 65.9; 2θ 25.06, I = 42.8; 2θ 27.40, I = 39.6; 2θ 49.97, I = 31.3; 2θ 45.80, I = 26.9; 2θ 50.75, I = 21.1; 2θ 38.75, I = 20.3; 2θ 52.46, I = 19.5

=====

(7)
The following is a theoretical PXRD pattern of CsCuS4. It was derived from the PBE geometry in the Materials Project, using a wavelength of 1.5418 Å.

Crystal structure
```
data_CsCuS4
_symmetry_space_group_name_H-M 'P 1'
_symmetry_Int_Tables_number 1
_cell_length_a 5.280
_cell_length_b 9.079
_cell_length_c 13.956
_cell_angle_alpha 90.00
_cell_angle_beta 90.00
_cell_angle_gamma 90.00
loop_
_symmetry_equiv_pos_as_xyz
'x,y,z'
loop_
_atom_site_label
_atom_site_type_symbol
_atom_site_fract_x
_atom_site_fract_y
_atom_site_fract_z
Cs1 Cs 0.178 0.081 0.338
Cs2 Cs 0.322 0.919 0.838
Cs3 Cs 0.678 0.419 0.662
Cs4 Cs 0.822 0.581 0.162
Cu1 Cu 0.035 0.145 0.062
Cu2 Cu 0.465 0.855 0.562
Cu3 Cu 0.535 0.355 0.938
Cu4 Cu 0.965 0.645 0.438
S1 S 0.060 0.561 0.925
S2 S 0.116 0.709 0.589
S3 S 0.150 0.359 0.854
S4 S 0.179 0.912 0.099
S5 S 0.321 0.088 0.599
S6 S 0.350 0.641 0.354
S7 S 0.384 0.291 0.089
S8 S 0.440 0.439 0.425
S9 S 0.560 0.939 0.075
S10 S 0.616 0.791 0.411
S11 S 0.650 0.141 0.146
S12 S 0.679 0.588 0.901
S13 S 0.821 0.412 0.401
S14 S 0.850 0.859 0.646
S15 S 0.884 0.209 0.911
S16 S 0.940 0.061 0.575
```

Largest 10 diffraction maxima, by intensity, 2θ from 15° to 90°:
2θ 27.38, I = 100.0; 2θ 32.35, I = 69.6; 2θ 19.45, I = 64.4; 2θ 20.57, I = 63.1; 2θ 36.01, I = 51.3; 2θ 25.53, I = 45.3; 2θ 30.71, I = 42.5; 2θ 25.88, I = 41.7; 2θ 26.67, I = 40.5; 2θ 32.29, I = 33.9

=====

(8)
The following is a theoretical PXRD pattern of CsCuTeS3. It was derived from the PBE geometry in the Materials Project, using a wavelength of 1.5418 Å.

Crystal structure
```
data_CsCuTeS3
_symmetry_space_group_name_H-M 'P 1'
_symmetry_Int_Tables_number 1
_cell_length_a 9.194
_cell_length_b 9.194
_cell_length_c 9.194
_cell_angle_alpha 90.00
_cell_angle_beta 90.00
_cell_angle_gamma 90.00
loop_
_symmetry_equiv_pos_as_xyz
'x,y,z'
loop_
_atom_site_label
_atom_site_type_symbol
_atom_site_fract_x
_atom_site_fract_y
_atom_site_fract_z
Cs1 Cs 0.082 0.418 0.582
Cs2 Cs 0.418 0.582 0.082
Cs3 Cs 0.582 0.082 0.418
Cs4 Cs 0.918 0.918 0.918
Cu1 Cu 0.147 0.147 0.147
Cu2 Cu 0.353 0.853 0.647
Cu3 Cu 0.647 0.353 0.853
Cu4 Cu 0.853 0.647 0.353
Te1 Te 0.071 0.929 0.429
Te2 Te 0.429 0.071 0.929
Te3 Te 0.571 0.571 0.571
Te4 Te 0.929 0.429 0.071
S1 S 0.032 0.637 0.189
S2 S 0.137 0.311 0.968
S3 S 0.189 0.032 0.637
S4 S 0.311 0.968 0.137
S5 S 0.363 0.689 0.468
S6 S 0.468 0.363 0.689
S7 S 0.532 0.863 0.811
S8 S 0.637 0.189 0.032
S9 S 0.689 0.468 0.363
S10 S 0.811 0.532 0.863
S11 S 0.863 0.811 0.532
S12 S 0.968 0.137 0.311
```

Largest 10 diffraction maxima, by intensity, 2θ from 15° to 90°:
2θ 21.61, I = 100.0; 2θ 29.14, I = 98.4; 2θ 36.57, I = 92.1; 2θ 23.71, I = 62.9; 2θ 50.63, I = 47.9; 2θ 19.31, I = 45.7; 2θ 40.45, I = 39.8; 2θ 64.95, I = 26.8; 2θ 51.66, I = 25.7; 2θ 53.69, I = 23.7